Entry 1:
Starting from a structure optimized by DFT (GGA-PBE), the powder diffraction line list of KGe2BO6 was simulated for Cu Ka.

Main lines, most intense first (10 to 80 degrees two-theta):
- 24.6°, rel. 100
- 26.0°, rel. 70
- 31.8°, rel. 51
- 27.1°, rel. 50
- 37.9°, rel. 39
- 30.7°, rel. 35
- 16.3°, rel. 35
- 34.1°, rel. 35

Atomic structure:
Unit cell a=4.869 b=10.340 c=10.868 alpha=90.00 beta=90.00 gamma=90.00
Space group P2_12_12_1 (No. 19)
Symmetry-distinct sites (fractional):
K 0.193 0.031 0.313 (multiplicity 4)
Ge 0.200 0.385 0.433 (multiplicity 4)
Ge 0.230 0.302 0.920 (multiplicity 4)
B 0.195 0.234 0.658 (multiplicity 4)
O 0.005 0.792 0.167 (multiplicity 4)
O 0.028 0.819 0.466 (multiplicity 4)
O 0.056 0.123 0.598 (multiplicity 4)
O 0.078 0.249 0.784 (multiplicity 4)
O 0.094 0.549 0.408 (multiplicity 4)
O 0.143 0.359 0.592 (multiplicity 4)

***

Entry 2:
Starting from a structure optimized by DFT (GGA-PBE), the powder diffraction line list of LiBiRh2 was simulated for Cu Ka.

Main lines, most intense first (10 to 80 degrees two-theta):
- 40.1°, rel. 100
- 24.2°, rel. 55
- 72.8°, rel. 35
- 47.4°, rel. 29
- 58.0°, rel. 17
- 63.8°, rel. 12
- 78.1°, rel. 9

Atomic structure:
Unit cell a=6.361 b=6.361 c=6.361 alpha=90.00 beta=90.00 gamma=90.00
Space group Fm-3m (No. 225)
Symmetry-distinct sites (fractional):
Li 0.000 0.000 0.000 (multiplicity 4)
Bi 0.000 0.000 0.500 (multiplicity 4)
Rh 0.250 0.250 0.250 (multiplicity 8)

***

Repeat the second record exactly.
Starting from a structure optimized by DFT (GGA-PBE), the powder diffraction line list of LiBiRh2 was simulated for Cu Ka.

Main lines, most intense first (10 to 80 degrees two-theta):
- 40.1°, rel. 100
- 24.2°, rel. 55
- 72.8°, rel. 35
- 47.4°, rel. 29
- 58.0°, rel. 17
- 63.8°, rel. 12
- 78.1°, rel. 9

Atomic structure:
Unit cell a=6.361 b=6.361 c=6.361 alpha=90.00 beta=90.00 gamma=90.00
Space group Fm-3m (No. 225)
Symmetry-distinct sites (fractional):
Li 0.000 0.000 0.000 (multiplicity 4)
Bi 0.000 0.000 0.500 (multiplicity 4)
Rh 0.250 0.250 0.250 (multiplicity 8)

***

- Which formula does entry 2 have?
  LiBiRh2